PrFeGe2: calculated powder X-ray diffraction pattern (Cu Kα), based on a crystal structure in the Materials Project, relaxed with PBE.
Kinematic intensities with the Lorentz-polarization factor, no thermal factor.

Main lines, in order of rising 2θ (10° ≤ 2θ ≤ 90°):
2θ = 29.6°, intensity 19, hkl 1 1 1
2θ = 33.5°, intensity 100, hkl 1 3 1
2θ = 34.2°, intensity 35, hkl 1 5 0
2θ = 38.8°, intensity 27, hkl 0 6 1
2θ = 41.5°, intensity 29, hkl 0 0 2
2θ = 41.7°, intensity 29, hkl 2 0 0
2θ = 54.9°, intensity 18, hkl 1 5 2
2θ = 58.3°, intensity 16, hkl 2 6 1
2θ = 60.3°, intensity 19, hkl 2 0 2
2θ = 70.7°, intensity 20, hkl 1 3 3

Crystal structure
Cell lengths 4.3316, 16.4645, 4.3472 Å; angles 90.00, 90.00, 90.00 degrees
Fractional coordinates of all 16 atoms:
1 Pr 0.0000 0.1058 0.2500
2 Pr 0.0000 0.8942 0.7500
3 Pr 0.5000 0.3942 0.7500
4 Pr 0.5000 0.6058 0.2500
5 Fe 0.0000 0.3128 0.2500
6 Fe 0.0000 0.6872 0.7500
7 Fe 0.5000 0.1872 0.7500
8 Fe 0.5000 0.8128 0.2500
9 Ge 0.0000 0.2517 0.7500
10 Ge 0.0000 0.4539 0.2500
11 Ge 0.0000 0.5461 0.7500
12 Ge 0.0000 0.7483 0.2500
13 Ge 0.5000 0.0461 0.7500
14 Ge 0.5000 0.2483 0.2500
15 Ge 0.5000 0.7517 0.7500
16 Ge 0.5000 0.9539 0.2500